(1)
Starting from a cell relaxed with GGA-PBE, the powder diffractogram of La3Ga2Pd3 was simulated for a wavelength of 1.5418 Å.
Lines closer than 0.1° are merged.

Structural model:
Cell lengths 8.0028, 15.7652, 5.9551 Å; angles 90.00, 90.00, 90.00 degrees
Fractional positions:
La 0.0348 0.1050 0.1525
La 0.0348 0.3950 0.1525
La 0.1672 0.2500 0.6209
La 0.3328 0.7500 0.1209
La 0.4652 0.6050 0.6525
La 0.4652 0.8950 0.6525
La 0.5348 0.1050 0.3475
La 0.5348 0.3950 0.3475
La 0.6672 0.2500 0.8791
La 0.8328 0.7500 0.3791
La 0.9652 0.6050 0.8475
La 0.9652 0.8950 0.8475
Ga 0.1209 0.6024 0.3497
Ga 0.1209 0.8976 0.3497
Ga 0.3791 0.1024 0.8497
Ga 0.3791 0.3976 0.8497
Ga 0.6209 0.6024 0.1503
Ga 0.6209 0.8976 0.1503
Ga 0.8791 0.1024 0.6503
Ga 0.8791 0.3976 0.6503
Pd 0.1704 0.0346 0.5884
Pd 0.1704 0.4654 0.5884
Pd 0.1868 0.7500 0.5946
Pd 0.3132 0.2500 0.0946
Pd 0.3296 0.5346 0.0884
Pd 0.3296 0.9654 0.0884
Pd 0.6704 0.0346 0.9116
Pd 0.6704 0.4654 0.9116
Pd 0.6868 0.7500 0.9054
Pd 0.8132 0.2500 0.4054
Pd 0.8296 0.5346 0.4116
Pd 0.8296 0.9654 0.4116

Main lines, in order of rising 2θ (15° ≤ 2θ ≤ 90°):
- 29.38 deg, intensity 43
- 31.87 deg, intensity 100
- 32.08 deg, intensity 49
- 32.59 deg, intensity 46
- 34.11 deg, intensity 51
- 35.34 deg, intensity 72
- 36.45 deg, intensity 60
- 36.92 deg, intensity 70
- 39.57 deg, intensity 48
- 51.18 deg, intensity 24


(2)
Starting from a cell relaxed with GGA-PBE, the powder diffractogram of Tb2ThSe4 was simulated for a wavelength of 1.5418 Å.
Lines closer than 0.1° are merged.

Structural model:
Cell lengths 8.2125, 8.2125, 8.2125 Å; angles 119.88, 119.08, 90.91 degrees
Fractional positions:
Tb 0.0000 0.0000 0.0000
Tb 0.5000 0.0000 0.0000
Tb 0.5000 0.0000 0.5000
Tb 0.5000 0.5000 0.5000
Th 0.0000 0.5000 0.5000
Th 0.5000 0.5000 0.0000
Se 0.2442 0.2382 0.4941
Se 0.2442 0.7501 0.0059
Se 0.2526 0.2483 0.0043
Se 0.2560 0.7517 0.5043
Se 0.7440 0.2483 0.4957
Se 0.7474 0.7517 0.9957
Se 0.7558 0.2499 0.9941
Se 0.7558 0.7618 0.5059

Main lines, in order of rising 2θ (15° ≤ 2θ ≤ 90°):
- 15.38 deg, intensity 17
- 30.55 deg, intensity 100
- 31.05 deg, intensity 48
- 43.47 deg, intensity 19
- 44.10 deg, intensity 91
- 54.38 deg, intensity 20
- 54.85 deg, intensity 19
- 72.45 deg, intensity 17
- 73.25 deg, intensity 16
- 80.25 deg, intensity 13


(3)
Starting from a cell relaxed with GGA-PBE, the powder diffractogram of K2Cd3Sn5 was simulated for a wavelength of 1.5418 Å.
Lines closer than 0.1° are merged.

Structural model:
Cell lengths 10.0332, 10.0332, 7.0540 Å; angles 110.47, 110.47, 89.22 degrees
Fractional positions:
K 0.1248 0.3742 0.2495
K 0.3742 0.1248 0.7495
K 0.6258 0.8752 0.2505
K 0.8752 0.6258 0.7505
Cd 0.0107 0.2598 0.6363
Cd 0.2598 0.0107 0.1363
Cd 0.4996 0.5004 0.2500
Cd 0.5004 0.4996 0.7500
Cd 0.7402 0.9893 0.8637
Cd 0.9893 0.7402 0.3637
Sn 0.9995 0.0005 0.2500
Sn 0.0005 0.9995 0.7500
Sn 0.2423 0.4873 0.8640
Sn 0.2504 0.7496 0.7500
Sn 0.2515 0.7485 0.2500
Sn 0.4873 0.2423 0.3640
Sn 0.5127 0.7577 0.6360
Sn 0.7485 0.2515 0.7500
Sn 0.7496 0.2504 0.2500
Sn 0.7577 0.5127 0.1360

Main lines, in order of rising 2θ (15° ≤ 2θ ≤ 90°):
- 19.18 deg, intensity 52
- 27.98 deg, intensity 35
- 29.12 deg, intensity 100
- 36.03 deg, intensity 78
- 38.58 deg, intensity 67
- 38.65 deg, intensity 22
- 40.51 deg, intensity 27
- 51.88 deg, intensity 27
- 60.58 deg, intensity 19
- 66.55 deg, intensity 19